Theoretical PXRD pattern
Compound: MnAsH2O5
Radiation: λ = 1.5418 Å (Cu Kα)
Structure: a structure optimized by DFT (GGA+U)
Intensities are scaled so that the largest is 100.

Unit cell a=5.3597 b=5.3597 c=7.6198 alpha=103.83 beta=103.83 gamma=97.97
Sites, in units of the cell vectors:
Mn (0.0000, 0.5000, 0.0000)
Mn (0.5000, 0.0000, 0.5000)
As (0.0664, 0.9336, 0.7500)
As (0.9336, 0.0664, 0.2500)
H (0.3800, 0.4500, 0.2980)
H (0.4500, 0.3800, 0.7980)
H (0.5500, 0.6200, 0.2020)
H (0.6200, 0.5500, 0.7020)
O (0.1621, 0.7862, 0.9241)
O (0.1678, 0.2704, 0.8442)
O (0.2138, 0.8379, 0.5759)
O (0.2704, 0.1678, 0.3442)
O (0.3911, 0.6089, 0.2500)
O (0.6089, 0.3911, 0.7500)
O (0.7296, 0.8322, 0.6558)
O (0.7862, 0.1621, 0.4241)
O (0.8322, 0.7296, 0.1558)
O (0.8379, 0.2138, 0.0759)

Top 10 peaks for 2θ from 10° to 80°, in order of falling intensity:
d = 5.091 Å, rel. 100
d = 3.673 Å, rel. 84
d = 2.667 Å, rel. 68
d = 3.397 Å, rel. 43
d = 3.016 Å, rel. 38
d = 3.514 Å, rel. 37
d = 2.646 Å, rel. 28
d = 2.206 Å, rel. 24
d = 2.461 Å, rel. 23
d = 4.835 Å, rel. 21